Entry 1:
For P3Se4I, a crystal structure in the Materials Project, relaxed with PBE gives the calculated X-ray powder pattern in this record (Cu Kα (weighted mean of Kα1 and Kα2)).

Largest 10 diffraction maxima, in order of rising 2θ, 10 to 80 degrees two-theta:
2θ (°)  intensity
15.38  77
16.25  45
18.37  52
25.06  58
25.29  79
26.46  100
27.23  59
28.61  77
29.77  70
31.06  60

Atomic structure:
```
data_P3Se4I
_space_group_name_H-M_alt 'P 1'
_space_group_IT_number 1
_space_group_name_Hall 'P 1'
_cell_length_a 12.391
_cell_length_b 7.044
_cell_length_c 15.069
_cell_angle_alpha 90.00
_cell_angle_beta 118.30
_cell_angle_gamma 90.00
loop_
_atom_site_label
_atom_site_type_symbol
_atom_site_fract_x
_atom_site_fract_y
_atom_site_fract_z
P1 P 0.180 0.079 0.011
P2 P 0.180 0.421 0.511
P3 P 0.218 0.726 0.547
P4 P 0.218 0.774 0.047
P5 P 0.314 0.656 0.373
P6 P 0.314 0.844 0.873
P7 P 0.686 0.156 0.127
P8 P 0.686 0.344 0.627
P9 P 0.782 0.226 0.953
P10 P 0.782 0.274 0.453
P11 P 0.820 0.579 0.489
P12 P 0.820 0.921 0.989
Se1 Se 0.054 0.687 0.897
Se2 Se 0.054 0.813 0.397
Se3 Se 0.142 0.678 0.784
Se4 Se 0.142 0.822 0.284
Se5 Se 0.244 0.133 0.894
Se6 Se 0.244 0.367 0.394
Se7 Se 0.385 0.710 0.029
Se8 Se 0.385 0.790 0.529
Se9 Se 0.615 0.210 0.471
Se10 Se 0.615 0.290 0.971
Se11 Se 0.756 0.633 0.606
Se12 Se 0.756 0.867 0.106
Se13 Se 0.858 0.178 0.716
Se14 Se 0.858 0.322 0.216
Se15 Se 0.946 0.187 0.603
Se16 Se 0.946 0.313 0.103
I1 I 0.348 0.210 0.175
I2 I 0.348 0.290 0.675
I3 I 0.652 0.710 0.325
I4 I 0.652 0.790 0.825
```

---

Entry 2:
For PaI3, a crystal structure in the Materials Project, relaxed with PBE gives the calculated X-ray powder pattern in this record (Cu Kα (weighted mean of Kα1 and Kα2)).

Largest 10 diffraction maxima, in order of rising 2θ, 10 to 80 degrees two-theta:
2θ (°)  intensity
15.50  41
17.91  63
28.70  100
31.29  24
32.78  40
35.26  33
39.82  38
47.72  22
56.64  27
70.63  22

Atomic structure:
```
data_PaI3
_space_group_name_H-M_alt 'P 1'
_space_group_IT_number 1
_space_group_name_Hall 'P 1'
_cell_length_a 11.435
_cell_length_b 11.435
_cell_length_c 3.997
_cell_angle_alpha 90.00
_cell_angle_beta 90.00
_cell_angle_gamma 120.00
loop_
_atom_site_label
_atom_site_type_symbol
_atom_site_fract_x
_atom_site_fract_y
_atom_site_fract_z
Pa1 Pa 0.333 0.667 0.250
Pa2 Pa 0.667 0.333 0.750
I1 I 0.211 0.423 0.750
I2 I 0.211 0.789 0.750
I3 I 0.423 0.211 0.250
I4 I 0.577 0.789 0.750
I5 I 0.789 0.211 0.250
I6 I 0.789 0.577 0.250
```

---

Entry 3:
For SbPb2S2I3, a crystal structure in the Materials Project, relaxed with PBE gives the calculated X-ray powder pattern in this record (Cu Kα (weighted mean of Kα1 and Kα2)).

Largest 10 diffraction maxima, in order of rising 2θ, 10 to 80 degrees two-theta:
2θ (°)  intensity
21.56  25
24.71  44
26.73  90
27.28  59
29.08  28
29.94  100
34.59  46
37.91  25
39.86  40
47.45  27

Atomic structure:
```
data_SbPb2S2I3
_space_group_name_H-M_alt 'P 1'
_space_group_IT_number 1
_space_group_name_Hall 'P 1'
_cell_length_a 7.744
_cell_length_b 7.744
_cell_length_c 16.490
_cell_angle_alpha 90.00
_cell_angle_beta 90.00
_cell_angle_gamma 146.03
loop_
_atom_site_label
_atom_site_type_symbol
_atom_site_fract_x
_atom_site_fract_y
_atom_site_fract_z
Sb1 Sb 0.155 0.845 0.500
Sb2 Sb 0.845 0.155 0.000
Pb1 Pb 0.124 0.876 0.045
Pb2 Pb 0.196 0.804 0.778
Pb3 Pb 0.804 0.196 0.278
Pb4 Pb 0.876 0.124 0.545
S1 S 0.274 0.726 0.602
S2 S 0.277 0.723 0.941
S3 S 0.723 0.277 0.441
S4 S 0.726 0.274 0.102
I1 I 0.154 0.846 0.270
I2 I 0.435 0.565 0.392
I3 I 0.441 0.559 0.127
I4 I 0.559 0.441 0.627
I5 I 0.565 0.435 0.892
I6 I 0.846 0.154 0.770
```

---

Repeat the third record exactly.
For SbPb2S2I3, a crystal structure in the Materials Project, relaxed with PBE gives the calculated X-ray powder pattern in this record (Cu Kα (weighted mean of Kα1 and Kα2)).

Largest 10 diffraction maxima, in order of rising 2θ, 10 to 80 degrees two-theta:
2θ (°)  intensity
21.56  25
24.71  44
26.73  90
27.28  59
29.08  28
29.94  100
34.59  46
37.91  25
39.86  40
47.45  27

Atomic structure:
```
data_SbPb2S2I3
_space_group_name_H-M_alt 'P 1'
_space_group_IT_number 1
_space_group_name_Hall 'P 1'
_cell_length_a 7.744
_cell_length_b 7.744
_cell_length_c 16.490
_cell_angle_alpha 90.00
_cell_angle_beta 90.00
_cell_angle_gamma 146.03
loop_
_atom_site_label
_atom_site_type_symbol
_atom_site_fract_x
_atom_site_fract_y
_atom_site_fract_z
Sb1 Sb 0.155 0.845 0.500
Sb2 Sb 0.845 0.155 0.000
Pb1 Pb 0.124 0.876 0.045
Pb2 Pb 0.196 0.804 0.778
Pb3 Pb 0.804 0.196 0.278
Pb4 Pb 0.876 0.124 0.545
S1 S 0.274 0.726 0.602
S2 S 0.277 0.723 0.941
S3 S 0.723 0.277 0.441
S4 S 0.726 0.274 0.102
I1 I 0.154 0.846 0.270
I2 I 0.435 0.565 0.392
I3 I 0.441 0.559 0.127
I4 I 0.559 0.441 0.627
I5 I 0.565 0.435 0.892
I6 I 0.846 0.154 0.770
```

---

> Number 3 is which compound?

SbPb2S2I3